Starting from a PBE-relaxed structure, the XRD peak list of K2Nb3Cl7O5 was simulated for Cu Ka.

```
data_K2Nb3Cl7O5
_space_group_name_H-M_alt 'C 1 2/c 1'
_space_group_IT_number 15
_cell_length_a 16.7189
_cell_length_b 8.9440
_cell_length_c 11.1923
_cell_angle_alpha 90.00
_cell_angle_beta 113.12
_cell_angle_gamma 90.00
loop_
_space_group_symop_operation_xyz
'x,y,z'
'-x,-y,-z'
'-x,y,-z+1/2'
'x,-y,z+1/2'
'x+1/2,y+1/2,z'
'-x+1/2,-y+1/2,-z'
'-x+1/2,y+1/2,-z+1/2'
'x+1/2,-y+1/2,z+1/2'
loop_
_atom_site_label
_atom_site_fract_x
_atom_site_fract_y
_atom_site_fract_z
_atom_site_occupancy
K1 0.2048 0.0349 0.3568 1
Nb1 0.0000 0.4602 0.2500 1
Nb2 0.0033 0.2127 0.9731 1
Cl1 0.0000 0.0853 0.7500 1
Cl2 0.1545 0.2143 0.6356 1
Cl3 0.1554 0.4256 0.3404 1
Cl4 0.1601 0.2067 0.0482 1
O1 0.0000 0.0000 0.0000 1
O2 0.0024 0.2840 0.1240 1
O3 0.0025 0.4002 0.8763 1
```

Peak list (12 most intense, 5 to 70 degrees two-theta, by angle)
d = 7.689 Å, 2θ 11.5, rel. 100, hkl 2 0 0
d = 4.737 Å, 2θ 18.7, rel. 19, hkl 1 1 -2
d = 4.133 Å, 2θ 21.5, rel. 19, hkl 3 1 -2
d = 3.874 Å, 2θ 23.0, rel. 14, hkl 2 2 -1
d = 3.844 Å, 2θ 23.1, rel. 25, hkl 4 0 0
d = 3.433 Å, 2θ 26.0, rel. 63, hkl 2 2 -2
d = 3.395 Å, 2θ 26.2, rel. 19, hkl 1 1 -3
d = 3.376 Å, 2θ 26.4, rel. 45, hkl 0 2 2
d = 2.792 Å, 2θ 32.1, rel. 25, hkl 2 0 -4
d = 2.563 Å, 2θ 35.0, rel. 38, hkl 6 0 0
d = 2.354 Å, 2θ 38.2, rel. 17, hkl 6 2 -2
d = 2.264 Å, 2θ 39.8, rel. 20, hkl 4 2 2

***

Starting from a PBE-relaxed structure, the XRD peak list of KNbTl2Cl6 was simulated for Cu Ka.

```
data_KNbTl2Cl6
_space_group_name_H-M_alt 'I 4/m'
_space_group_IT_number 87
_space_group_name_Hall '-I 4'
_cell_length_a 7.4291
_cell_length_b 7.4291
_cell_length_c 11.0296
_cell_angle_alpha 90.00
_cell_angle_beta 90.00
_cell_angle_gamma 90.00
loop_
_atom_site_label
_atom_site_fract_x
_atom_site_fract_y
_atom_site_fract_z
_atom_site_occupancy
K1 0.0000 0.0000 0.0000 1
Nb1 0.0000 0.0000 0.5000 1
Tl1 0.0000 0.5000 0.2500 1
Cl1 0.0000 0.0000 0.2726 1
Cl2 0.1422 0.3034 0.5000 1
```

Peak list (12 most intense, 5 to 70 degrees two-theta, by angle)
d = 5.253 Å, 2θ 16.9, rel. 25, hkl 1 1 0
d = 3.804 Å, 2θ 23.4, rel. 100, hkl 1 1 2
d = 3.715 Å, 2θ 24.0, rel. 73, hkl 2 0 0
d = 3.081 Å, 2θ 29.0, rel. 51, hkl 2 0 2
d = 2.757 Å, 2θ 32.5, rel. 32, hkl 0 0 4
d = 2.627 Å, 2θ 34.1, rel. 41, hkl 2 2 0
d = 2.214 Å, 2θ 40.8, rel. 35, hkl 2 0 4
d = 2.161 Å, 2θ 41.8, rel. 66, hkl 1 3 2
d = 1.902 Å, 2θ 47.8, rel. 30, hkl 2 2 4
d = 1.661 Å, 2θ 55.3, rel. 21, hkl 4 2 0
d = 1.448 Å, 2θ 64.3, rel. 20, hkl 1 3 6
d = 1.423 Å, 2θ 65.6, rel. 25, hkl 4 2 4

***

Starting from a PBE-relaxed structure, the XRD peak list of KNiCl6 was simulated for Cu Ka.

```
data_KNiCl6
_space_group_name_H-M_alt 'P 1'
_space_group_IT_number 1
_cell_length_a 4.7282
_cell_length_b 7.3022
_cell_length_c 7.3531
_cell_angle_alpha 64.32
_cell_angle_beta 71.53
_cell_angle_gamma 79.65
loop_
_space_group_symop_operation_xyz
'x,y,z'
loop_
_atom_site_label
_atom_site_fract_x
_atom_site_fract_y
_atom_site_fract_z
_atom_site_occupancy
K1 0.0000 0.0000 0.0000 1
Ni1 0.5021 0.4988 0.4995 1
Cl1 0.0014 0.4993 0.9997 1
Cl2 0.1801 0.2882 0.5150 1
Cl3 0.4410 0.3381 0.8511 1
Cl4 0.5028 0.9985 0.4994 1
Cl5 0.5619 0.6602 0.1480 1
Cl6 0.8257 0.7085 0.4838 1
```

Peak list (12 most intense, 5 to 70 degrees two-theta, by angle)
d = 6.573 Å, 2θ 13.5, rel. 72, hkl 0 1 0
d = 6.382 Å, 2θ 13.9, rel. 28, hkl 0 0 1
d = 5.927 Å, 2θ 14.9, rel. 60, hkl 0 1 1
d = 4.243 Å, 2θ 20.9, rel. 71, hkl 1 0 1
d = 3.619 Å, 2θ 24.6, rel. 57, hkl 1 -1 0
d = 3.303 Å, 2θ 27.0, rel. 26, hkl 1 1 2
d = 3.191 Å, 2θ 28.0, rel. 97, hkl 0 0 2
d = 3.117 Å, 2θ 28.6, rel. 100, hkl 1 2 1
d = 2.547 Å, 2θ 35.2, rel. 87, hkl -1 2 1
d = 2.275 Å, 2θ 39.6, rel. 34, hkl 1 -2 1
d = 2.160 Å, 2θ 41.8, rel. 32, hkl 1 0 3
d = 2.111 Å, 2θ 42.8, rel. 31, hkl 2 2 2

***

Starting from a PBE-relaxed structure, the XRD peak list of K4Re2Cl10O was simulated for Cu Ka.

```
data_K4Re2Cl10O
_space_group_name_H-M_alt 'I 4/m m m'
_space_group_IT_number 139
_space_group_name_Hall '-I 4 2'
_cell_length_a 7.1541
_cell_length_b 7.1541
_cell_length_c 17.8995
_cell_angle_alpha 90.00
_cell_angle_beta 90.00
_cell_angle_gamma 90.00
loop_
_atom_site_label
_atom_site_fract_x
_atom_site_fract_y
_atom_site_fract_z
_atom_site_occupancy
K1 0.0000 0.5000 0.0000 1
K2 0.0000 0.5000 0.2500 1
Re1 0.0000 0.0000 0.1035 1
Cl1 0.0000 0.0000 0.2380 1
Cl2 0.2365 0.2365 0.1114 1
O1 0.0000 0.0000 0.0000 1
```

Peak list (12 most intense, 5 to 70 degrees two-theta, by angle)
d = 6.643 Å, 2θ 13.3, rel. 100, hkl 1 0 1
d = 5.059 Å, 2θ 17.5, rel. 20, hkl 1 1 0
d = 3.577 Å, 2θ 24.9, rel. 11, hkl 2 0 0
d = 3.352 Å, 2θ 26.6, rel. 28, hkl 1 1 4
d = 3.201 Å, 2θ 27.9, rel. 19, hkl 1 0 5
d = 3.149 Å, 2θ 28.3, rel. 27, hkl 2 1 1
d = 2.529 Å, 2θ 35.5, rel. 33, hkl 2 2 0
d = 2.386 Å, 2θ 37.7, rel. 13, hkl 2 1 5
d = 2.019 Å, 2θ 44.9, rel. 13, hkl 3 1 4
d = 1.972 Å, 2θ 46.0, rel. 11, hkl 3 2 1
d = 1.789 Å, 2θ 51.1, rel. 13, hkl 4 0 0
d = 1.688 Å, 2θ 54.3, rel. 11, hkl 2 1 9

***

Starting from a PBE-relaxed structure, the XRD peak list of KPdCl6 was simulated for Cu Ka.

```
data_KPdCl6
_space_group_name_H-M_alt 'P 1'
_space_group_IT_number 1
_cell_length_a 5.2937
_cell_length_b 6.9511
_cell_length_c 7.4266
_cell_angle_alpha 65.03
_cell_angle_beta 71.56
_cell_angle_gamma 79.79
loop_
_space_group_symop_operation_xyz
'x,y,z'
loop_
_atom_site_label
_atom_site_fract_x
_atom_site_fract_y
_atom_site_fract_z
_atom_site_occupancy
K1 0.0000 0.0000 0.0000 1
Pd1 0.4991 0.5012 0.5005 1
Cl1 0.2055 0.2886 0.5035 1
Cl2 0.4856 0.2930 0.8389 1
Cl3 0.4990 0.0012 0.5004 1
Cl4 0.5128 0.7092 0.1621 1
Cl5 0.7926 0.7139 0.4974 1
Cl6 0.9994 0.5009 0.0004 1
```

Peak list (12 most intense, 5 to 70 degrees two-theta, by angle)
d = 6.481 Å, 2θ 13.7, rel. 63, hkl 0 0 1
d = 6.293 Å, 2θ 14.1, rel. 61, hkl 0 1 0
d = 5.790 Å, 2θ 15.3, rel. 100, hkl 0 1 1
d = 5.015 Å, 2θ 17.7, rel. 50, hkl 1 0 0
d = 4.617 Å, 2θ 19.2, rel. 83, hkl 1 0 1
d = 3.828 Å, 2θ 23.2, rel. 49, hkl 1 -1 0
d = 3.241 Å, 2θ 27.5, rel. 84, hkl 0 0 2
d = 3.116 Å, 2θ 28.7, rel. 75, hkl 1 2 1
d = 2.589 Å, 2θ 34.6, rel. 84, hkl -1 2 1
d = 2.508 Å, 2θ 35.8, rel. 42, hkl 2 0 0
d = 2.242 Å, 2θ 40.2, rel. 55, hkl 2 2 2
d = 2.214 Å, 2θ 40.8, rel. 46, hkl 1 0 3

***

Starting from a PBE-relaxed structure, the XRD peak list of KRbPdCl4 was simulated for Cu Ka.

```
data_KRbPdCl4
_space_group_name_H-M_alt 'P m m m'
_space_group_IT_number 47
_cell_length_a 4.2032
_cell_length_b 7.0771
_cell_length_c 7.2560
_cell_angle_alpha 90.00
_cell_angle_beta 90.00
_cell_angle_gamma 90.00
loop_
_space_group_symop_operation_xyz
'x,y,z'
'-x,-y,-z'
'-x,-y,z'
'x,y,-z'
'x,-y,-z'
'-x,y,z'
'-x,y,-z'
'x,-y,z'
loop_
_atom_site_label
_atom_site_fract_x
_atom_site_fract_y
_atom_site_fract_z
_atom_site_occupancy
K1 0.0000 0.0000 0.0000 1
Rb1 0.0000 0.5000 0.5000 1
Pd1 0.5000 0.5000 0.0000 1
Cl1 0.5000 0.2649 0.2260 1
```

Peak list (12 most intense, 5 to 70 degrees two-theta, by angle)
d = 7.256 Å, 2θ 12.2, rel. 20, hkl 0 0 1
d = 7.077 Å, 2θ 12.5, rel. 67, hkl 0 1 0
d = 4.203 Å, 2θ 21.1, rel. 13, hkl 1 0 0
d = 3.636 Å, 2θ 24.5, rel. 36, hkl 1 0 1
d = 3.234 Å, 2θ 27.6, rel. 100, hkl 1 1 1
d = 2.707 Å, 2θ 33.1, rel. 12, hkl 1 2 0
d = 2.534 Å, 2θ 35.4, rel. 66, hkl 0 2 2
d = 2.102 Å, 2θ 43.0, rel. 15, hkl 2 0 0
d = 2.010 Å, 2θ 45.1, rel. 20, hkl 1 1 3
d = 1.979 Å, 2θ 45.9, rel. 26, hkl 1 3 1
d = 1.804 Å, 2θ 50.6, rel. 14, hkl 1 2 3
d = 1.617 Å, 2θ 56.9, rel. 24, hkl 2 2 2

***

Starting from a PBE-relaxed structure, the XRD peak list of K2PtCl6 was simulated for Cu Ka.

```
data_K2PtCl6
_space_group_name_H-M_alt 'I 4/m'
_space_group_IT_number 87
_space_group_name_Hall '-I 4'
_cell_length_a 6.9443
_cell_length_b 6.9443
_cell_length_c 9.9614
_cell_angle_alpha 90.00
_cell_angle_beta 90.00
_cell_angle_gamma 90.00
loop_
_atom_site_label
_atom_site_fract_x
_atom_site_fract_y
_atom_site_fract_z
_atom_site_occupancy
K1 0.0000 0.5000 0.2500 1
Pt1 0.0000 0.0000 0.0000 1
Cl1 0.0000 0.0000 0.2352 1
Cl2 0.2213 0.2546 0.0000 1
```

Peak list (12 most intense, 5 to 70 degrees two-theta, by angle)
d = 5.697 Å, 2θ 15.6, rel. 100, hkl 1 0 1
d = 4.981 Å, 2θ 17.8, rel. 14, hkl 0 0 2
d = 4.910 Å, 2θ 18.1, rel. 27, hkl 1 1 0
d = 3.497 Å, 2θ 25.5, rel. 29, hkl 1 1 2
d = 3.472 Å, 2θ 25.7, rel. 15, hkl 2 0 0
d = 2.996 Å, 2θ 29.8, rel. 16, hkl 1 0 3
d = 2.965 Å, 2θ 30.1, rel. 34, hkl 1 2 1
d = 2.490 Å, 2θ 36.1, rel. 17, hkl 0 0 4
d = 2.455 Å, 2θ 36.6, rel. 31, hkl 2 2 0
d = 2.009 Å, 2θ 45.1, rel. 13, hkl 1 3 2
d = 1.891 Å, 2θ 48.1, rel. 14, hkl 2 3 1
d = 1.748 Å, 2θ 52.3, rel. 20, hkl 2 2 4

***

Starting from a PBE-relaxed structure, the XRD peak list of K2PtCl6 was simulated for Cu Ka.

```
data_K2PtCl6
_space_group_name_H-M_alt 'P 4/m n c'
_space_group_IT_number 128
_space_group_name_Hall '-P 4 2n'
_cell_length_a 6.8546
_cell_length_b 6.8546
_cell_length_c 10.2709
_cell_angle_alpha 90.00
_cell_angle_beta 90.00
_cell_angle_gamma 90.00
loop_
_atom_site_label
_atom_site_fract_x
_atom_site_fract_y
_atom_site_fract_z
_atom_site_occupancy
K1 0.0000 0.5000 0.2500 1
Pt1 0.0000 0.0000 0.0000 1
Cl1 0.0000 0.0000 0.2290 1
Cl2 0.1982 0.2788 0.0000 1
```

Peak list (12 most intense, 5 to 70 degrees two-theta, by angle)
d = 5.701 Å, 2θ 15.5, rel. 100, hkl 1 0 1
d = 5.135 Å, 2θ 17.3, rel. 15, hkl 0 0 2
d = 4.847 Å, 2θ 18.3, rel. 23, hkl 1 1 0
d = 3.525 Å, 2θ 25.3, rel. 27, hkl 1 1 2
d = 3.427 Å, 2θ 26.0, rel. 16, hkl 2 0 0
d = 3.063 Å, 2θ 29.2, rel. 17, hkl 1 0 3
d = 2.937 Å, 2θ 30.4, rel. 32, hkl 2 1 1
d = 2.568 Å, 2θ 34.9, rel. 18, hkl 0 0 4
d = 2.423 Å, 2θ 37.1, rel. 26, hkl 2 2 0
d = 1.997 Å, 2θ 45.4, rel. 15, hkl 3 1 2
d = 1.869 Å, 2θ 48.7, rel. 12, hkl 3 2 1
d = 1.762 Å, 2θ 51.9, rel. 18, hkl 2 2 4